Starting from a DFT-relaxed cell (GGA-PBE, Alexandria), the powder X-ray diffraction pattern of NdPa2Zn9 was simulated for Cu Kα (λ = 1.5418 Å).
Lines closer than 0.1° are merged.

Main lines, in order of rising 2θ (2θ from 5° to 70°):
Position (°2θ), I/Imax, (hkl)
10.01, 20, 0 0 3
30.44, 37, 1 0 7
33.19, 15, 0 1 8
33.37, 44, 1 1 0
38.88, 27, 0 2 1
39.27, 100, 1 1 6
40.84, 16, 0 0 12
57.83, 13, 2 1 7
60.37, 12, 0 2 13
63.61, 23, 3 0 6

a = 5.3695 Å, b = 5.3695 Å, c = 26.5133 Å
α = 90.00°, β = 90.00°, γ = 120.00°
Space group R-3m (No. 166, hexagonal axes)
Asymmetric unit:
Nd1 0.0000 0.0000 0.0000 (multiplicity 3)
Pa1 0.0000 0.0000 0.1501 (multiplicity 6)
Zn1 0.0000 0.0000 0.3357 (multiplicity 6)
Zn2 0.0000 0.0000 0.5000 (multiplicity 3)
Zn3 0.0047 0.5024 0.9182 (multiplicity 18)

Starting from a DFT-relaxed cell (GGA-PBE, Alexandria), the powder X-ray diffraction pattern of CsRbHF2 was simulated for Cu Kα (λ = 1.5418 Å).
Lines closer than 0.1° are merged.

Main lines, in order of rising 2θ (2θ from 5° to 70°):
Position (°2θ), I/Imax, (hkl)
23.83, 39, 1 1 0
25.19, 100, 1 0 1
33.95, 33, 2 0 0
37.80, 12, 0 0 2
42.74, 48, 2 1 1
45.17, 14, 1 1 2
48.77, 11, 2 2 0
51.70, 19, 2 0 2
55.67, 11, 3 0 1
66.82, 13, 3 2 1

a = 5.2815 Å, b = 5.2815 Å, c = 4.7602 Å
α = 90.00°, β = 90.00°, γ = 90.00°
Space group P4/mmm (No. 123)
Asymmetric unit:
Cs1 0.0000 0.0000 0.0000 (multiplicity 1)
Rb1 0.5000 0.5000 0.5000 (multiplicity 1)
H1 0.5000 0.5000 0.0000 (multiplicity 1)
F1 0.0000 0.5000 0.5000 (multiplicity 2)

Starting from a DFT-relaxed cell (GGA-PBE, Alexandria), the powder X-ray diffraction pattern of Nd3DyPt8 was simulated for Cu Kα (λ = 1.5418 Å).
Lines closer than 0.1° are merged.

Main lines, in order of rising 2θ (2θ from 5° to 70°):
Position (°2θ), I/Imax, (hkl)
19.78, 15, 0 1 2
32.57, 20, 1 1 0
38.39, 100, 1 1 6
40.17, 49, 0 0 12
46.73, 9, 2 0 8
51.21, 4, 0 2 10
58.11, 7, 3 0 0
62.01, 33, 3 0 6
68.23, 30, 2 2 0

a = 5.4972 Å, b = 5.4972 Å, c = 26.9496 Å
α = 90.00°, β = 90.00°, γ = 120.00°
Space group R3m (No. 160, hexagonal axes)
Asymmetric unit:
Nd1 0.0000 0.0000 0.0000 (multiplicity 3)
Nd2 0.0000 0.0000 0.1256 (multiplicity 3)
Nd3 0.0000 0.0000 0.5013 (multiplicity 3)
Dy1 0.0000 0.0000 0.6260 (multiplicity 3)
Pt1 0.0000 0.0000 0.3130 (multiplicity 3)
Pt2 0.0000 0.0000 0.8131 (multiplicity 3)
Pt3 0.0003 0.5002 0.5639 (multiplicity 9)
Pt4 0.1673 0.3347 0.3958 (multiplicity 9)

Starting from a DFT-relaxed cell (GGA-PBE, Alexandria), the powder X-ray diffraction pattern of LiSm3C2N6 was simulated for Cu Kα (λ = 1.5418 Å).
Lines closer than 0.1° are merged.

Main lines, in order of rising 2θ (2θ from 5° to 70°):
Position (°2θ), I/Imax, (hkl)
24.19, 100, 1 0 1
33.39, 58, 1 1 0
35.51, 49, 0 1 2
41.66, 38, 0 2 1
45.15, 9, 0 0 3
49.54, 24, 2 0 2
54.41, 25, 2 1 1
57.31, 23, 1 1 3
59.69, 11, 3 0 0
61.07, 19, 1 2 2

a = 5.3663 Å, b = 5.3663 Å, c = 6.0246 Å
α = 90.00°, β = 90.00°, γ = 120.00°
Space group P-3m1 (No. 164)
Asymmetric unit:
Li1 0.0000 0.0000 0.0000 (multiplicity 1)
Sm1 0.0000 0.0000 0.5000 (multiplicity 1)
Sm2 0.3333 0.6667 0.1618 (multiplicity 2)
C1 0.3333 0.6667 0.7526 (multiplicity 2)
N1 0.1872 0.3743 0.7722 (multiplicity 6)

Starting from a DFT-relaxed cell (GGA-PBE, Alexandria), the powder X-ray diffraction pattern of Li2NdPb was simulated for Cu Kα (λ = 1.5418 Å).
Lines closer than 0.1° are merged.

Main lines, in order of rising 2θ (2θ from 5° to 70°):
Position (°2θ), I/Imax, (hkl)
13.57, 26, 0 0 1
19.58, 29, 0 1 1
22.97, 100, 1 0 1
27.03, 28, 1 1 1
28.32, 45, 0 2 0
36.19, 58, 1 1 2
36.78, 67, 1 2 1
37.40, 25, 2 0 0
44.04, 29, 0 1 3
59.11, 24, 2 1 3

a = 4.8095 Å, b = 6.3019 Å, c = 6.5263 Å
α = 90.00°, β = 90.00°, γ = 90.00°
Space group Pmmn (No. 59, origin choice 2)
Asymmetric unit:
Li1 0.2500 0.0170 0.1170 (multiplicity 4)
Nd1 0.2500 0.2500 0.5920 (multiplicity 2)
Pb1 0.2500 0.7500 0.7537 (multiplicity 2)

Starting from a DFT-relaxed cell (GGA-PBE, Alexandria), the powder X-ray diffraction pattern of Zr9Tl2In was simulated for Cu Kα (λ = 1.5418 Å).
Lines closer than 0.1° are merged.

Main lines, in order of rising 2θ (2θ from 5° to 70°):
Position (°2θ), I/Imax, (hkl)
6.57, 3, 0 0 1
19.80, 9, 1 0 0
28.15, 8, 1 1 0
34.66, 100, 1 1 3
40.23, 49, 2 0 0
45.23, 4, 2 1 0
49.83, 3, 1 1 6
58.21, 33, 2 2 0
62.12, 2, 0 0 9
69.55, 38, 3 1 3

a = 4.4823 Å, b = 4.4823 Å, c = 13.4518 Å
α = 90.00°, β = 90.00°, γ = 90.00°
Space group P4/mmm (No. 123)
Asymmetric unit:
Zr1 0.0000 0.0000 0.0000 (multiplicity 1)
Zr2 0.0000 0.0000 0.3331 (multiplicity 2)
Zr3 0.0000 0.5000 0.1654 (multiplicity 4)
Zr4 0.0000 0.5000 0.5000 (multiplicity 2)
Tl1 0.5000 0.5000 0.3330 (multiplicity 2)
In1 0.5000 0.5000 0.0000 (multiplicity 1)

Starting from a DFT-relaxed cell (GGA-PBE, Alexandria), the powder X-ray diffraction pattern of Li2TiNb2S6 was simulated for Cu Kα (λ = 1.5418 Å).
Lines closer than 0.1° are merged.

Main lines, in order of rising 2θ (2θ from 5° to 70°):
Position (°2θ), I/Imax, (hkl)
13.92, 100, 0 0 1
30.25, 20, 1 3 0
30.39, 13, 2 0 -1
35.22, 59, 1 3 1
35.95, 31, 2 0 -2
37.59, 10, 2 0 1
44.65, 10, 1 3 2
47.98, 12, 2 0 2
49.29, 21, 1 3 -3
53.07, 17, 3 3 -1

a = 5.9869 Å, b = 10.3233 Å, c = 6.6090 Å
α = 90.00°, β = 105.68°, γ = 90.00°
Space group C2/m (No. 12)
Asymmetric unit:
Li1 0.0000 0.1772 0.0000 (multiplicity 4)
Ti1 0.0000 0.0000 0.5000 (multiplicity 2)
Nb1 0.0000 0.3578 0.5000 (multiplicity 4)
S1 0.2333 0.1674 0.7286 (multiplicity 8)
S2 0.2400 0.0000 0.2462 (multiplicity 4)

Starting from a DFT-relaxed cell (GGA-PBE, Alexandria), the powder X-ray diffraction pattern of SmNpSc2O8 was simulated for Cu Kα (λ = 1.5418 Å).
Lines closer than 0.1° are merged.

Main lines, in order of rising 2θ (2θ from 5° to 70°):
Position (°2θ), I/Imax, (hkl)
17.98, 89, 1 1 0
25.29, 58, 0 2 0
25.79, 76, 2 0 0
31.63, 100, 1 1 2
36.43, 32, 2 2 0
36.80, 31, 2 0 2
48.71, 41, 1 3 2
49.28, 39, 3 1 2
53.02, 20, 0 0 4
62.56, 23, 3 3 2

a = 6.9111 Å, b = 7.0439 Å, c = 6.9065 Å
α = 90.00°, β = 90.00°, γ = 90.00°
Space group Cmmm (No. 65)
Asymmetric unit:
Sm1 0.0000 0.0000 0.0000 (multiplicity 2)
Np1 0.0000 0.0000 0.5000 (multiplicity 2)
Sc1 0.0000 0.5000 0.2296 (multiplicity 4)
O1 0.0000 0.2822 0.5000 (multiplicity 4)
O2 0.0000 0.3217 0.0000 (multiplicity 4)
O3 0.1970 0.0000 0.2772 (multiplicity 8)